Record 1
This entry pairs a crystal structure of HfH8S2O12 with its simulated XRD peak list. Radiation: Cu Kα X-rays. Structure: a GGA-PBE-relaxed structure.
No peak broadening, texture or thermal motion is included.

Peak list (10 most intense, 15 to 90 degrees two-theta, in order of falling intensity)
h k l  2θ (°)  Rel. int.
1 1 3  20.28  100
1 3 3  29.80  79
1 1 1  17.84  49
2 2 4  38.11  41
0 2 6  25.58  39
0 2 2  16.71  26
1 3 9  42.07  21
0 4 0  30.81  16
2 0 10  47.50  16
3 1 7  55.40  14

Atomic structure:
```
data_HfH8S2O12
_cell_length_a 5.629
_cell_length_b 11.609
_cell_length_c 26.116
_cell_angle_alpha 90.00
_cell_angle_beta 90.00
_cell_angle_gamma 90.00
_space_group_name_H-M_alt 'F d d d'
_space_group_IT_number 70
loop_
_space_group_symop_operation_xyz
'x,y,z'
'-x,-y,-z'
'-x+1/4,-y+1/4,z'
'x+1/4,y+1/4,-z'
'x,-y+1/4,-z+1/4'
'-x,y+1/4,z+1/4'
'-x+1/4,y,-z+1/4'
'x+1/4,-y,z+1/4'
'x,y+1/2,z+1/2'
'-x,-y+1/2,-z+1/2'
'-x+1/4,-y+3/4,z+1/2'
'x+1/4,y+3/4,-z+1/2'
'x,-y+3/4,-z+3/4'
'-x,y+3/4,z+3/4'
'-x+1/4,y+1/2,-z+3/4'
'x+1/4,-y+1/2,z+3/4'
'x+1/2,y,z+1/2'
'-x+1/2,-y,-z+1/2'
'-x+3/4,-y+1/4,z+1/2'
'x+3/4,y+1/4,-z+1/2'
'x+1/2,-y+1/4,-z+3/4'
'-x+1/2,y+1/4,z+3/4'
'-x+3/4,y,-z+3/4'
'x+3/4,-y,z+3/4'
'x+1/2,y+1/2,z'
'-x+1/2,-y+1/2,-z'
'-x+3/4,-y+3/4,z'
'x+3/4,y+3/4,-z'
'x+1/2,-y+3/4,-z+1/4'
'-x+1/2,y+3/4,z+1/4'
'-x+3/4,y+1/2,-z+1/4'
'x+3/4,-y+1/2,z+1/4'
loop_
_atom_site_label
_atom_site_type_symbol
_atom_site_fract_x
_atom_site_fract_y
_atom_site_fract_z
Hf1 Hf 0.125 0.125 0.125
H1 H 0.067 0.004 0.310
H2 H 0.119 0.358 0.276
S1 S 0.125 0.125 0.432
O1 O 0.087 0.318 0.310
O2 O 0.087 0.351 0.714
O3 O 0.089 0.024 0.853
```

***

Record 2
This entry pairs a crystal structure of RbFeCl3 with its simulated XRD peak list. Radiation: Cu Kα X-rays. Structure: a GGA-PBE-relaxed structure.
No peak broadening, texture or thermal motion is included.

Peak list (10 most intense, 15 to 90 degrees two-theta, in order of falling intensity)
h k l  2θ (°)  Rel. int.
2 0 0  36.00  100
1 1 0  25.25  96
2 2 0  51.83  64
1 1 1  31.05  58
2 1 1  44.48  42
4 2 0  87.43  28
2 2 2  64.73  21
3 2 1  70.64  21
3 1 1  61.66  21
3 1 0  58.50  18

Atomic structure:
```
data_RbFeCl3
_cell_length_a 4.989
_cell_length_b 4.989
_cell_length_c 4.989
_cell_angle_alpha 90.00
_cell_angle_beta 90.00
_cell_angle_gamma 90.00
_space_group_name_H-M_alt 'P m -3 m'
_space_group_IT_number 221
_space_group_name_Hall '-P 4 2 3'
loop_
_atom_site_label
_atom_site_type_symbol
_atom_site_fract_x
_atom_site_fract_y
_atom_site_fract_z
Rb1 Rb 0.000 0.000 0.000
Fe1 Fe 0.500 0.500 0.500
Cl1 Cl 0.000 0.500 0.500
```